Calculated X-ray diffraction stick pattern
Compound: Pa2Cu3S6
Radiation: CuKα
Structure: a cell relaxed with GGA-PBE
Lines closer than 0.1° are merged.

The 6 most intense peaks (2θ from 15° to 90°), sorted by position:
2θ = 15.08°, intensity 100, hkl 2 0 0; 2θ = 25.07°, intensity 24, hkl 3 1 -1; 2θ = 28.52°, intensity 63, hkl 3 1 1; 2θ = 34.82°, intensity 21, hkl 1 1 -5; 2θ = 37.13°, intensity 38, hkl 3 1 3; 2θ = 46.35°, intensity 25, hkl 3 3 -3

Structural model:
```
data_Pa2Cu3S6
_chemical_formula_sum 'Pa8 Cu12 S24'
_symmetry_space_group_name_H-M 'C 1 2/c 1'
_symmetry_Int_Tables_number 15
_cell_length_a 12.309
_cell_length_b 7.101
_cell_length_c 13.871
_cell_angle_alpha 90.00
_cell_angle_beta 107.33
_cell_angle_gamma 90.00
loop_
_symmetry_equiv_pos_as_xyz
'x,y,z'
'-x,-y,-z'
'-x,y,-z+1/2'
'x,-y,z+1/2'
'x+1/2,y+1/2,z'
'-x+1/2,-y+1/2,-z'
'-x+1/2,y+1/2,-z+1/2'
'x+1/2,-y+1/2,z+1/2'
loop_
_atom_site_label
_atom_site_fract_x
_atom_site_fract_y
_atom_site_fract_z
_atom_site_occupancy
Pa1 0.079 0.250 0.485 1
Cu1 0.000 0.044 0.250 1
Cu2 0.103 0.353 0.250 1
S1 0.034 0.086 0.898 1
S2 0.111 0.441 0.102 1
S3 0.225 0.396 0.398 1
```